For Ca2TaBiO6, a structure optimized by DFT (PBE) gives the computed XRD peak list in this record (Cu Kα).
Lines closer than 0.1° are merged.

Cell and atoms:
```
Ca2TaBiO6
1.0
5.7729 0.0000 0.0000
0.0000 8.1310 0.0000
-0.1093 0.0000 5.9843
Ca Ta Bi O
4 2 2 12
Cartesian
-0.0122 2.0328 2.6564
2.7161 2.0328 5.6582
2.9475 6.0983 0.3261
5.6757 6.0983 3.3280
2.8318 0.0000 2.9922
2.8318 4.0655 2.9922
0.0000 0.0000 0.0000
0.0000 4.0655 0.0000
0.7370 6.0983 5.5354
1.1624 0.4863 3.9763
1.1624 3.5792 3.9763
1.9414 0.4886 1.2870
1.9414 3.5769 1.2870
2.2303 6.0983 2.7159
3.4332 2.0328 3.2684
3.7221 4.5541 4.6973
3.7221 7.6424 4.6973
4.5012 4.5518 2.0081
4.5012 7.6447 2.0081
4.9266 2.0328 0.4490
```

Most intense lines, 15° ≤ 2θ ≤ 90°, sorted by position:
d = 4.193 Å, I = 44.2
d = 4.117 Å, I = 44.8
d = 4.066 Å, I = 41.3
d = 2.992 Å, I = 36.0
d = 2.919 Å, I = 71.5
d = 2.891 Å, I = 100.0
d = 2.096 Å, I = 16.3
d = 2.033 Å, I = 17.5
d = 1.677 Å, I = 18.6
d = 1.662 Å, I = 31.1


For LaMoN3, a structure optimized by DFT (PBE) gives the computed XRD peak list in this record (Cu Kα).
Lines closer than 0.1° are merged.

Cell and atoms:
```
LaMoN3
1.0
5.8356 0.0000 0.0000
0.0000 3.8904 0.0000
-2.5881 0.0000 7.5569
La Mo N
2 2 6
Cartesian
0.9204 0.9726 1.4319
2.3271 2.9178 6.1250
-0.8869 0.9726 5.0568
4.1344 2.9178 2.5000
-1.4605 2.9178 4.6077
-2.0015 0.9726 6.5510
0.8278 0.9726 5.5696
2.4197 2.9178 1.9873
5.2490 2.9178 1.0059
4.7080 0.9726 2.9492
```

Most intense lines, 15° ≤ 2θ ≤ 90°, sorted by position:
d = 5.521 Å, I = 27.9
d = 3.778 Å, I = 43.9
d = 3.732 Å, I = 29.8
d = 3.180 Å, I = 100.0
d = 2.733 Å, I = 22.7
d = 2.710 Å, I = 31.5
d = 2.693 Å, I = 38.6
d = 2.681 Å, I = 22.8
d = 1.997 Å, I = 19.5
d = 1.945 Å, I = 18.7